# 1
Diffraction record for LiLa2InH. The powder diffraction line list is computed, not measured: it uses a cell relaxed with GGA-PBE and Cu Kα, 1.54184 Å.
Intensities are scaled so that the largest is 100.

The 8 most intense peaks (2θ = 5–70°), in order of rising 2θ:
- 2θ = 17.08°, d = 5.191 Å, rel. 17.8, (1 0 0)
- 2θ = 24.25°, d = 3.670 Å, rel. 14.4, (1 1 0)
- 2θ = 26.73°, d = 3.335 Å, rel. 13.2, (1 0 1)
- 2θ = 31.89°, d = 2.806 Å, rel. 100.0, (1 1 1)
- 2θ = 34.56°, d = 2.595 Å, rel. 40.9, (2 0 0)
- 2θ = 49.68°, d = 1.835 Å, rel. 14.5, (2 2 0)
- 2θ = 55.07°, d = 1.668 Å, rel. 21.2, (2 0 2)
- 2θ = 60.26°, d = 1.536 Å, rel. 31.9, (3 1 1)

a b c (Å): 5.191 5.191 4.352
angles (deg): 90.00 90.00 90.00
Space group P4/mmm (No. 123)
Asymmetric unit:
Li: 0.000 0.000 0.000 [1 per cell]
La: 0.000 0.500 0.500 [2 per cell]
In: 0.500 0.500 0.000 [1 per cell]
H: 0.000 0.000 0.500 [1 per cell]

# 2
Diffraction record for Pa3Ga4Rh2. The powder diffraction line list is computed, not measured: it uses a cell relaxed with GGA-PBE and Cu Kα, 1.54184 Å.
Intensities are scaled so that the largest is 100.

The 8 most intense peaks (2θ = 5–70°), in order of rising 2θ:
- 2θ = 24.08°, d = 3.696 Å, rel. 24.6, (1 1 0)
- 2θ = 34.01°, d = 2.636 Å, rel. 100.0, (1 1 1)
- 2θ = 36.87°, d = 2.438 Å, rel. 61.3, (2 0 1)
- 2θ = 37.16°, d = 2.420 Å, rel. 32.3, (2 1 0)
- 2θ = 42.35°, d = 2.134 Å, rel. 28.3, (3 0 0)
- 2θ = 51.46°, d = 1.776 Å, rel. 19.5, (3 1 0)
- 2θ = 57.39°, d = 1.606 Å, rel. 23.8, (3 1 1)
- 2θ = 68.59°, d = 1.368 Å, rel. 20.9, (3 2 1)

a b c (Å): 7.3926 7.3926 3.7608
angles (deg): 90.00 90.00 120.00
Space group P-62m (No. 189)
Asymmetric unit:
Pa: 0.0000 0.4020 0.0000 [3 per cell]
Ga: 0.0000 0.0000 0.0000 [1 per cell]
Ga: 0.0000 0.7411 0.5000 [3 per cell]
Rh: 0.3333 0.6667 0.5000 [2 per cell]

# 3
Diffraction record for NdGaSi. The powder diffraction line list is computed, not measured: it uses a cell relaxed with GGA-PBE and Cu Kα, 1.54184 Å.
Intensities are scaled so that the largest is 100.

The 8 most intense peaks (2θ = 5–70°), in order of rising 2θ:
- 2θ = 24.64°, d = 3.614 Å, rel. 23.0, (1 1 0)
- 2θ = 32.60°, d = 2.747 Å, rel. 100.0, (0 2 2)
- 2θ = 42.77°, d = 2.114 Å, rel. 12.4, (0 0 4)
- 2θ = 43.37°, d = 2.086 Å, rel. 35.9, (2 0 0)
- 2θ = 49.98°, d = 1.825 Å, rel. 6.9, (1 1 4)
- 2θ = 55.26°, d = 1.662 Å, rel. 14.7, (2 2 2)
- 2θ = 55.36°, d = 1.660 Å, rel. 7.2, (0 4 2)
- 2θ = 62.55°, d = 1.485 Å, rel. 23.7, (2 0 4)

a b c (Å): 4.178 7.217 8.457
angles (deg): 90.00 90.00 90.00
Space group Immm (No. 71)
Asymmetric unit:
Nd: 0.000 0.000 0.247 [4 per cell]
Ga: 0.000 0.332 0.000 [4 per cell]
Si: 0.000 0.336 0.500 [4 per cell]

# 4
Diffraction record for V4Cr3Tc. The powder diffraction line list is computed, not measured: it uses a cell relaxed with GGA-PBE and Cu Kα, 1.54184 Å.
Intensities are scaled so that the largest is 100.

The 8 most intense peaks (2θ = 5–70°), in order of rising 2θ:
- 2θ = 10.67°, d = 8.292 Å, rel. 5.6, (0 0 1)
- 2θ = 23.85°, d = 3.732 Å, rel. 2.4, (0 1 1)
- 2θ = 30.35°, d = 2.945 Å, rel. 3.7, (0 1 2)
- 2θ = 43.30°, d = 2.089 Å, rel. 25.3, (0 2 0)
- 2θ = 43.44°, d = 2.083 Å, rel. 100.0, (1 1 2)
- 2θ = 43.66°, d = 2.073 Å, rel. 24.5, (0 0 4)
- 2θ = 63.04°, d = 1.475 Å, rel. 7.5, (2 0 0)
- 2θ = 63.18°, d = 1.472 Å, rel. 14.7, (0 2 4)

a b c (Å): 2.949 4.179 8.292
angles (deg): 90.00 90.00 90.00
Space group Pmmm (No. 47)
Asymmetric unit:
V: 0.000 0.000 0.000 [1 per cell]
V: 0.000 0.000 0.500 [1 per cell]
V: 0.000 0.500 0.244 [2 per cell]
Cr: 0.500 0.000 0.246 [2 per cell]
Cr: 0.500 0.500 0.000 [1 per cell]
Tc: 0.500 0.500 0.500 [1 per cell]

# 5
Diffraction record for Rb2BaZr3S8. The powder diffraction line list is computed, not measured: it uses a cell relaxed with GGA-PBE and Cu Kα, 1.54184 Å.
Intensities are scaled so that the largest is 100.

The 8 most intense peaks (2θ = 5–70°), in order of rising 2θ:
- 2θ = 20.03°, d = 4.434 Å, rel. 38.0, (1 0 4)
- 2θ = 22.74°, d = 3.911 Å, rel. 35.7, (0 0 6)
- 2θ = 23.06°, d = 3.857 Å, rel. 36.9, (0 1 5)
- 2θ = 25.47°, d = 3.498 Å, rel. 100.0, (1 1 3)
- 2θ = 30.48°, d = 2.933 Å, rel. 34.0, (0 2 4)
- 2θ = 37.76°, d = 2.382 Å, rel. 50.5, (0 2 7)
- 2θ = 40.70°, d = 2.217 Å, rel. 49.2, (2 0 8)
- 2θ = 46.44°, d = 1.955 Å, rel. 51.7, (2 2 0)

a b c (Å): 7.8219 7.8219 23.4581
angles (deg): 90.00 90.00 120.00
Space group R3m (No. 160, hexagonal axes)
Asymmetric unit:
Rb: 0.0000 0.0000 0.0000 [3 per cell]
Rb: 0.0000 0.0000 0.3600 [3 per cell]
Ba: 0.0000 0.0000 0.7337 [3 per cell]
Zr: 0.0051 0.5025 0.8631 [9 per cell]
S: 0.0000 0.0000 0.1346 [3 per cell]
S: 0.0000 0.0000 0.5920 [3 per cell]
S: 0.0313 0.5157 0.1352 [9 per cell]
S: 0.1794 0.3588 0.9192 [9 per cell]

# 6
Diffraction record for YMg2Zn2Au2. The powder diffraction line list is computed, not measured: it uses a cell relaxed with GGA-PBE and Cu Kα, 1.54184 Å.
Intensities are scaled so that the largest is 100.

The 8 most intense peaks (2θ = 5–70°), in order of rising 2θ:
- 2θ = 22.66°, d = 3.925 Å, rel. 51.5, (0 0 6)
- 2θ = 23.84°, d = 3.733 Å, rel. 50.5, (0 1 2)
- 2θ = 27.26°, d = 3.272 Å, rel. 63.8, (1 0 4)
- 2θ = 35.09°, d = 2.557 Å, rel. 25.6, (1 0 7)
- 2θ = 38.18°, d = 2.357 Å, rel. 65.5, (0 1 8)
- 2θ = 39.67°, d = 2.272 Å, rel. 100.0, (1 1 0)
- 2θ = 46.16°, d = 1.966 Å, rel. 49.1, (1 1 6)
- 2θ = 62.54°, d = 1.485 Å, rel. 31.7, (1 1 12)

a b c (Å): 4.5445 4.5445 23.5492
angles (deg): 90.00 90.00 120.00
Space group R-3m (No. 166, hexagonal axes)
Asymmetric unit:
Y: 0.0000 0.0000 0.0000 [3 per cell]
Mg: 0.0000 0.0000 0.1340 [6 per cell]
Zn: 0.0000 0.0000 0.4065 [6 per cell]
Au: 0.0000 0.0000 0.2542 [6 per cell]

# 7
Diffraction record for La2Ti3Bi2O12. The powder diffraction line list is computed, not measured: it uses a cell relaxed with GGA-PBE and Cu Kα, 1.54184 Å.
Intensities are scaled so that the largest is 100.

The 8 most intense peaks (2θ = 5–70°), in order of rising 2θ:
- 2θ = 5.26°, d = 16.794 Å, rel. 22.0, (0 2 0)
- 2θ = 26.57°, d = 3.355 Å, rel. 24.2, (1 5 1)
- 2θ = 29.65°, d = 3.013 Å, rel. 100.0, (1 7 1)
- 2θ = 32.73°, d = 2.737 Å, rel. 35.1, (2 0 0)
- 2θ = 39.30°, d = 2.293 Å, rel. 15.9, (2 8 0)
- 2θ = 46.93°, d = 1.936 Å, rel. 24.4, (2 0 2)
- 2θ = 50.60°, d = 1.804 Å, rel. 18.9, (2 14 0)
- 2θ = 56.57°, d = 1.627 Å, rel. 16.4, (3 7 1)

a b c (Å): 5.467 33.588 5.483
angles (deg): 90.00 90.00 90.00
Space group Fmm2 (No. 42)
Asymmetric unit:
La: 0.000 0.065 0.000 [8 per cell]
Ti: 0.000 0.000 0.506 [4 per cell]
Ti: 0.000 0.126 0.509 [8 per cell]
Bi: 0.000 0.212 0.100 [8 per cell]
O: 0.000 0.058 0.513 [8 per cell]
O: 0.000 0.180 0.497 [8 per cell]
O: 0.242 0.000 0.774 [8 per cell]
O: 0.249 0.114 0.256 [16 per cell]
O: 0.250 0.250 0.317 [8 per cell]